# Zr2ZnAu4
Simulated XRD peak list, λ = 1.5418 Å (Cu Kα). Input: a structure optimized by DFT (GGA-PBE).
Intensities are scaled so that the largest is 100.

The 10 most intense peaks (10 to 80 degrees two-theta), in order of rising 2θ:
| hkl | Position (°2θ) | d (Å) | I/Imax |
| --- | --- | --- | --- |
| 1 1 1 | 27.68 | 3.223 | 27 |
| 3 1 -1 | 37.31 | 2.410 | 100 |
| 0 2 0 | 37.49 | 2.399 | 50 |
| 1 1 2 | 37.94 | 2.371 | 74 |
| 2 0 -3 | 38.80 | 2.321 | 37 |
| 2 2 -3 | 55.05 | 1.668 | 27 |
| 6 0 -2 | 67.15 | 1.394 | 22 |
| 3 3 -1 | 67.53 | 1.387 | 18 |
| 1 3 2 | 67.95 | 1.380 | 17 |
| 5 1 -4 | 68.85 | 1.364 | 17 |

Crystal structure
Cell lengths 8.3655, 4.7978, 7.1350 Å; angles 90.00, 111.10, 90.00 degrees
Fractional positions:
Zr 0.2217 0.0000 0.1766
Zr 0.2783 0.5000 0.8234
Zr 0.7217 0.5000 0.1766
Zr 0.7783 0.0000 0.8234
Zn 0.0000 0.5000 0.0000
Zn 0.5000 0.0000 0.0000
Au 0.0875 0.0000 0.7487
Au 0.1262 0.5000 0.3945
Au 0.3738 0.0000 0.6055
Au 0.4125 0.5000 0.2513
Au 0.5875 0.5000 0.7487
Au 0.6262 0.0000 0.3945
Au 0.8738 0.5000 0.6055
Au 0.9125 0.0000 0.2513